No. 1
# SrSc2Tl2
Simulated X-ray powder pattern, Cu Kα (weighted mean of Kα1 and Kα2). Input: the GGA-PBE geometry in Alexandria.
Kinematic intensities with the Lorentz-polarization factor, no thermal factor.

Most intense lines, 10° ≤ 2θ ≤ 90°, low angle first:
2θ/deg  I/Imax  index
20.1  63  1 0 1
26.9  52  1 1 0
27.4  51  1 0 3
30.0  32  1 1 2
38.0  37  1 1 4
38.4  100  2 0 0
47.9  22  2 1 3
55.4  54  2 2 0

Structural model:
Cell lengths 4.686, 4.686, 13.548 Å; angles 90.00, 90.00, 90.00 degrees
Space group I4/mmm (No. 139)
Symmetry-distinct sites (fractional):
1 Sr 0.000 0.000 0.000
2 Sc 0.000 0.500 0.250
3 Tl 0.000 0.000 0.390

---

No. 2
# MnFe3Tc2
Simulated X-ray powder pattern, Cu Kα (weighted mean of Kα1 and Kα2). Input: the GGA-PBE geometry in Alexandria.
Kinematic intensities with the Lorentz-polarization factor, no thermal factor.

Most intense lines, 10° ≤ 2θ ≤ 90°, low angle first:
2θ/deg  I/Imax  index
24.5  22  1 0 1
40.5  44  2 0 0
42.4  100  1 4 1
43.6  81  1 3 2
43.8  36  0 1 3
44.8  30  0 4 2
47.7  30  1 0 3
75.0  17  3 4 1

Structural model:
Cell lengths 4.450, 10.510, 6.327 Å; angles 90.00, 90.00, 90.00 degrees
Space group Imma (No. 74)
Symmetry-distinct sites (fractional):
1 Mn 0.000 0.250 0.102
2 Fe 0.000 0.048 0.840
3 Fe 0.250 0.250 0.750
4 Tc 0.000 0.120 0.444